# U2Cr30P19
Theoretical powder diffraction line list, Cu Kα X-rays. Input: the GGA-PBE geometry in the Materials Project.
Lines closer than 0.1° are merged.

Structure:
```
data_U2Cr30P19
_chemical_formula_sum 'U2 Cr30 P19'
_symmetry_space_group_name_H-M 'P -6'
_symmetry_Int_Tables_number 174
_cell_length_a 14.5659
_cell_length_b 14.5659
_cell_length_c 3.4406
_cell_angle_alpha 90.00
_cell_angle_beta 90.00
_cell_angle_gamma 120.00
loop_
_symmetry_equiv_pos_as_xyz
'x,y,z'
'-x+y,-x,-z'
'-y,x-y,z'
'x,y,-z'
'-x+y,-x,z'
'-y,x-y,-z'
loop_
_atom_site_label
_atom_site_fract_x
_atom_site_fract_y
_atom_site_fract_z
_atom_site_occupancy
U1 0.0000 0.0000 0.0000 1
U2 0.3333 0.6667 0.5000 1
Cr1 0.0186 0.1751 0.5000 1
Cr2 0.0582 0.5238 0.5000 1
Cr3 0.0822 0.8131 0.0000 1
Cr4 0.1433 0.3977 0.5000 1
Cr5 0.1774 0.6867 0.0000 1
Cr6 0.2760 0.1465 0.0000 1
Cr7 0.3807 0.0710 0.5000 1
Cr8 0.4002 0.3552 0.0000 1
Cr9 0.5240 0.2482 0.0000 1
Cr10 0.5562 0.4036 0.5000 1
P1 0.0284 0.2841 0.0000 1
P2 0.0798 0.6996 0.5000 1
P3 0.1625 0.1455 0.5000 1
P4 0.1706 0.5219 0.0000 1
P5 0.3988 0.2404 0.5000 1
P6 0.4853 0.0621 0.0000 1
P7 0.6667 0.3333 0.5000 1
```

Largest 6 diffraction maxima, most intense first, 10 to 90 degrees two-theta:
index, Position (°2θ), I_rel
3 2 1, 40.7, 100
4 0 1, 38.7, 27
1 1 0, 12.2, 26
1 3 1, 36.6, 24
2 1 1, 32.1, 20
0 0 2, 53.2, 20

---

# UCr5P3
Theoretical powder diffraction line list, Cu Kα X-rays. Input: the GGA-PBE geometry in the Materials Project.
Lines closer than 0.1° are merged.

Structure:
```
data_UCr5P3
_chemical_formula_sum 'U2 Cr10 P6'
_symmetry_space_group_name_H-M 'P 1 21/m 1'
_symmetry_Int_Tables_number 11
_cell_length_a 6.780
_cell_length_b 3.730
_cell_length_c 9.498
_cell_angle_alpha 90.00
_cell_angle_beta 98.40
_cell_angle_gamma 90.00
loop_
_symmetry_equiv_pos_as_xyz
'x,y,z'
'-x,-y,-z'
'-x,y+1/2,-z'
'x,-y+1/2,z'
loop_
_atom_site_label
_atom_site_fract_x
_atom_site_fract_y
_atom_site_fract_z
_atom_site_occupancy
U1 0.180 0.250 0.283 1
Cr1 0.085 0.250 0.601 1
Cr2 0.158 0.750 0.008 1
Cr3 0.322 0.750 0.778 1
Cr4 0.395 0.250 0.012 1
Cr5 0.459 0.250 0.571 1
P1 0.101 0.250 0.847 1
P2 0.238 0.750 0.520 1
P3 0.441 0.750 0.186 1
```

Largest 6 diffraction maxima, most intense first, 10 to 90 degrees two-theta:
index, Position (°2θ), I_rel
2 1 -2, 39.0, 100
2 1 1, 38.3, 90
0 1 3, 37.5, 62
0 2 0, 48.8, 48
0 1 1, 25.7, 46
1 0 1, 17.3, 45

---

# UCr6P4
Theoretical powder diffraction line list, Cu Kα X-rays. Input: the GGA-PBE geometry in the Materials Project.
Lines closer than 0.1° are merged.

Structure:
```
data_UCr6P4
_chemical_formula_sum 'U1 Cr6 P4'
_symmetry_space_group_name_H-M 'P -6 m 2'
_symmetry_Int_Tables_number 187
_symmetry_space_group_name_Hall 'P -6 2'
_cell_length_a 7.0307
_cell_length_b 7.0307
_cell_length_c 3.3320
_cell_angle_alpha 90.00
_cell_angle_beta 90.00
_cell_angle_gamma 120.00
loop_
_atom_site_label
_atom_site_fract_x
_atom_site_fract_y
_atom_site_fract_z
_atom_site_occupancy
U1 0.0000 0.0000 0.0000 1
Cr1 0.0738 0.5369 0.0000 1
Cr2 0.4000 0.2000 0.5000 1
P1 0.1879 0.3758 0.5000 1
P2 0.6667 0.3333 0.0000 1
```

Largest 6 diffraction maxima, most intense first, 10 to 90 degrees two-theta:
index, Position (°2θ), I_rel
2 0 1, 40.1, 100
1 0 0, 14.5, 55
2 1 0, 39.1, 50
1 1 1, 37.2, 49
1 0 1, 30.6, 30
2 0 0, 29.3, 28

---

# UCr6P4
Theoretical powder diffraction line list, Cu Kα X-rays. Input: the GGA-PBE geometry in the Materials Project.
Lines closer than 0.1° are merged.

Structure:
```
data_UCr6P4
_chemical_formula_sum 'U2 Cr12 P8'
_symmetry_space_group_name_H-M 'P m m n'
_symmetry_Int_Tables_number 59
_cell_length_a 3.493
_cell_length_b 6.890
_cell_length_c 11.879
_cell_angle_alpha 90.00
_cell_angle_beta 90.00
_cell_angle_gamma 90.00
loop_
_symmetry_equiv_pos_as_xyz
'x,y,z'
'-x,-y,-z'
'-x+1/2,-y+1/2,z'
'x+1/2,y+1/2,-z'
'x+1/2,-y,-z'
'-x+1/2,y,z'
'-x,y+1/2,-z'
'x,-y+1/2,z'
loop_
_atom_site_label
_atom_site_fract_x
_atom_site_fract_y
_atom_site_fract_z
_atom_site_occupancy
U1 0.250 0.250 0.181 1
Cr1 0.250 0.056 0.924 1
Cr2 0.250 0.553 0.411 1
Cr3 0.250 0.750 0.219 1
Cr4 0.250 0.750 0.616 1
P1 0.250 0.033 0.726 1
P2 0.250 0.250 0.511 1
P3 0.250 0.750 0.010 1
```

Largest 6 diffraction maxima, most intense first, 10 to 90 degrees two-theta:
index, Position (°2θ), I_rel
1 0 4, 39.8, 100
0 1 1, 14.9, 44
1 1 3, 36.7, 38
1 2 1, 37.4, 35
0 2 3, 34.5, 21
2 0 0, 52.4, 19

---

# CrP8W3
Theoretical powder diffraction line list, Cu Kα X-rays. Input: the GGA-PBE geometry in the Materials Project.
Lines closer than 0.1° are merged.

Structure:
```
data_CrP8W3
_chemical_formula_sum 'Cr2 P16 W6'
_symmetry_space_group_name_H-M 'C 1 m 1'
_symmetry_Int_Tables_number 8
_cell_length_a 8.452
_cell_length_b 3.153
_cell_length_c 13.001
_cell_angle_alpha 90.00
_cell_angle_beta 95.32
_cell_angle_gamma 90.00
loop_
_symmetry_equiv_pos_as_xyz
'x,y,z'
'x,-y,z'
'x+1/2,y+1/2,z'
'x+1/2,-y+1/2,z'
loop_
_atom_site_label
_atom_site_fract_x
_atom_site_fract_y
_atom_site_fract_z
_atom_site_occupancy
Cr1 0.000 0.000 0.000 1
P1 0.176 0.000 0.151 1
P2 0.179 0.500 0.662 1
P3 0.204 0.500 0.951 1
P4 0.205 0.000 0.446 1
P5 0.402 0.500 0.343 1
P6 0.405 0.000 0.855 1
P7 0.430 0.500 0.637 1
P8 0.432 0.000 0.125 1
W1 0.108 0.500 0.289 1
W2 0.110 0.000 0.799 1
W3 0.499 0.000 0.500 1
```

Largest 6 diffraction maxima, most intense first, 10 to 90 degrees two-theta:
index, Position (°2θ), I_rel
2 0 0, 21.1, 100
1 1 -3, 36.3, 93
1 1 1, 31.3, 78
3 1 1, 44.3, 58
3 1 -3, 46.9, 57
2 0 2, 26.3, 53

---

# CrP2W
Theoretical powder diffraction line list, Cu Kα X-rays. Input: the GGA-PBE geometry in the Materials Project.
Lines closer than 0.1° are merged.

Structure:
```
data_CrP2W
_chemical_formula_sum 'Cr2 P4 W2'
_symmetry_space_group_name_H-M 'P m c 21'
_symmetry_Int_Tables_number 26
_cell_length_a 3.169
_cell_length_b 6.150
_cell_length_c 5.521
_cell_angle_alpha 90.00
_cell_angle_beta 90.00
_cell_angle_gamma 90.00
loop_
_symmetry_equiv_pos_as_xyz
'x,y,z'
'-x,-y,z+1/2'
'-x,y,z'
'x,-y,z+1/2'
loop_
_atom_site_label
_atom_site_fract_x
_atom_site_fract_y
_atom_site_fract_z
_atom_site_occupancy
Cr1 0.000 0.064 0.000 1
P1 0.000 0.295 0.332 1
P2 0.500 0.167 0.696 1
W1 0.500 0.445 0.017 1
```

Largest 6 diffraction maxima, most intense first, 10 to 90 degrees two-theta:
index, Position (°2θ), I_rel
0 1 0, 14.4, 100
1 1 2, 46.0, 99
1 1 0, 31.8, 97
1 2 1, 44.2, 60
0 2 2, 44.1, 45
0 0 2, 32.4, 45

---

# Zr2Cr30P19
Theoretical powder diffraction line list, Cu Kα X-rays. Input: the GGA-PBE geometry in the Materials Project.
Lines closer than 0.1° are merged.

Structure:
```
data_Zr2Cr30P19
_chemical_formula_sum 'Zr2 Cr30 P19'
_symmetry_space_group_name_H-M 'P -6'
_symmetry_Int_Tables_number 174
_cell_length_a 14.8630
_cell_length_b 14.8630
_cell_length_c 3.2643
_cell_angle_alpha 90.00
_cell_angle_beta 90.00
_cell_angle_gamma 120.00
loop_
_symmetry_equiv_pos_as_xyz
'x,y,z'
'-x+y,-x,-z'
'-y,x-y,z'
'x,y,-z'
'-x+y,-x,z'
'-y,x-y,-z'
loop_
_atom_site_label
_atom_site_fract_x
_atom_site_fract_y
_atom_site_fract_z
_atom_site_occupancy
Zr1 0.0000 0.0000 0.0000 1
Zr2 0.3333 0.6667 0.5000 1
Cr1 0.0179 0.1741 0.5000 1
Cr2 0.0584 0.5242 0.5000 1
Cr3 0.0846 0.8153 0.0000 1
Cr4 0.1420 0.3966 0.5000 1
Cr5 0.1786 0.6869 0.0000 1
Cr6 0.2702 0.1443 0.0000 1
Cr7 0.3814 0.0739 0.5000 1
Cr8 0.4010 0.3567 0.0000 1
Cr9 0.5228 0.2469 0.0000 1
Cr10 0.5564 0.4017 0.5000 1
P1 0.0271 0.2852 0.0000 1
P2 0.0802 0.7003 0.5000 1
P3 0.1555 0.1405 0.5000 1
P4 0.1758 0.5264 0.0000 1
P5 0.3975 0.2394 0.5000 1
P6 0.4835 0.0606 0.0000 1
P7 0.6667 0.3333 0.5000 1
```

Largest 6 diffraction maxima, most intense first, 10 to 90 degrees two-theta:
index, Position (°2θ), I_rel
3 2 1, 41.2, 100
4 3 0, 42.7, 24
1 7 0, 53.8, 22
4 0 1, 39.3, 20
0 0 2, 56.4, 20
2 4 1, 46.6, 18

---

# Pm3Cr
Theoretical powder diffraction line list, Cu Kα X-rays. Input: the GGA-PBE geometry in the Materials Project.
Lines closer than 0.1° are merged.

Structure:
```
data_Pm3Cr
_chemical_formula_sum 'Pm6 Cr2'
_symmetry_space_group_name_H-M 'I 4/m m m'
_symmetry_Int_Tables_number 139
_symmetry_space_group_name_Hall '-I 4 2'
_cell_length_a 4.822
_cell_length_b 4.822
_cell_length_c 10.033
_cell_angle_alpha 90.00
_cell_angle_beta 90.00
_cell_angle_gamma 90.00
loop_
_atom_site_label
_atom_site_fract_x
_atom_site_fract_y
_atom_site_fract_z
_atom_site_occupancy
Pm1 0.000 0.000 0.000 1
Pm2 0.000 0.500 0.250 1
Cr1 0.000 0.000 0.500 1
```

Largest 6 diffraction maxima, most intense first, 10 to 90 degrees two-theta:
index, Position (°2θ), I_rel
1 1 2, 31.7, 100
2 0 0, 37.3, 32
3 1 2, 63.8, 26
2 0 4, 52.7, 24
0 0 4, 35.8, 18
1 1 6, 61.8, 15

---

# PrCrSb3
Theoretical powder diffraction line list, Cu Kα X-rays. Input: the GGA-PBE geometry in the Materials Project.
Lines closer than 0.1° are merged.

Structure:
```
data_PrCrSb3
_chemical_formula_sum 'Pr4 Cr4 Sb12'
_symmetry_space_group_name_H-M 'P b c m'
_symmetry_Int_Tables_number 57
_cell_length_a 13.223
_cell_length_b 6.243
_cell_length_c 6.108
_cell_angle_alpha 90.00
_cell_angle_beta 90.00
_cell_angle_gamma 90.00
loop_
_symmetry_equiv_pos_as_xyz
'x,y,z'
'-x,-y,-z'
'-x,-y,z+1/2'
'x,y,-z+1/2'
'x,-y+1/2,-z'
'-x,y+1/2,z'
'-x,y+1/2,-z+1/2'
'x,-y+1/2,z+1/2'
loop_
_atom_site_label
_atom_site_fract_x
_atom_site_fract_y
_atom_site_fract_z
_atom_site_occupancy
Pr1 0.192 0.004 0.250 1
Cr1 0.408 0.750 0.000 1
Sb1 0.001 0.750 0.000 1
Sb2 0.283 0.000 0.750 1
Sb3 0.439 0.099 0.250 1
```

Largest 6 diffraction maxima, most intense first, 10 to 90 degrees two-theta:
index, Position (°2θ), I_rel
4 1 1, 34.0, 100
2 2 0, 31.7, 62
0 2 2, 41.4, 61
2 0 2, 32.3, 48
4 1 3, 55.0, 25
3 0 2, 35.8, 22

---

# CrPt3
Theoretical powder diffraction line list, Cu Kα X-rays. Input: the GGA-PBE geometry in the Materials Project.
Lines closer than 0.1° are merged.

Structure:
```
data_CrPt3
_chemical_formula_sum 'Cr1 Pt3'
_symmetry_space_group_name_H-M 'P m -3 m'
_symmetry_Int_Tables_number 221
_symmetry_space_group_name_Hall '-P 4 2 3'
_cell_length_a 3.922
_cell_length_b 3.922
_cell_length_c 3.922
_cell_angle_alpha 90.00
_cell_angle_beta 90.00
_cell_angle_gamma 90.00
loop_
_atom_site_label
_atom_site_fract_x
_atom_site_fract_y
_atom_site_fract_z
_atom_site_occupancy
Cr1 0.000 0.000 0.000 1
Pt1 0.000 0.500 0.500 1
```

Largest 6 diffraction maxima, most intense first, 10 to 90 degrees two-theta:
index, Position (°2θ), I_rel
1 1 1, 39.8, 100
2 0 0, 46.3, 49
3 1 1, 81.4, 38
2 2 0, 67.6, 32
1 0 0, 22.7, 15
1 1 0, 32.3, 13

---

# CrPt
Theoretical powder diffraction line list, Cu Kα X-rays. Input: the GGA-PBE geometry in the Materials Project.
Lines closer than 0.1° are merged.

Structure:
```
data_CrPt
_chemical_formula_sum 'Cr1 Pt1'
_symmetry_space_group_name_H-M 'P 4/m m m'
_symmetry_Int_Tables_number 123
_symmetry_space_group_name_Hall '-P 4 2'
_cell_length_a 2.669
_cell_length_b 2.669
_cell_length_c 3.857
_cell_angle_alpha 90.00
_cell_angle_beta 90.00
_cell_angle_gamma 90.00
loop_
_atom_site_label
_atom_site_fract_x
_atom_site_fract_y
_atom_site_fract_z
_atom_site_occupancy
Cr1 0.000 0.000 0.000 1
Pt1 0.500 0.500 0.500 1
```

Largest 6 diffraction maxima, most intense first, 10 to 90 degrees two-theta:
index, Position (°2θ), I_rel
1 0 1, 41.1, 100
0 0 1, 23.1, 34
1 1 0, 48.2, 31
1 0 0, 33.6, 27
2 1 1, 85.1, 24
1 1 2, 69.7, 21

---

Copy entry 3 word for word.
# UCr6P4
Theoretical powder diffraction line list, Cu Kα X-rays. Input: the GGA-PBE geometry in the Materials Project.
Lines closer than 0.1° are merged.

Structure:
```
data_UCr6P4
_chemical_formula_sum 'U1 Cr6 P4'
_symmetry_space_group_name_H-M 'P -6 m 2'
_symmetry_Int_Tables_number 187
_symmetry_space_group_name_Hall 'P -6 2'
_cell_length_a 7.0307
_cell_length_b 7.0307
_cell_length_c 3.3320
_cell_angle_alpha 90.00
_cell_angle_beta 90.00
_cell_angle_gamma 120.00
loop_
_atom_site_label
_atom_site_fract_x
_atom_site_fract_y
_atom_site_fract_z
_atom_site_occupancy
U1 0.0000 0.0000 0.0000 1
Cr1 0.0738 0.5369 0.0000 1
Cr2 0.4000 0.2000 0.5000 1
P1 0.1879 0.3758 0.5000 1
P2 0.6667 0.3333 0.0000 1
```

Largest 6 diffraction maxima, most intense first, 10 to 90 degrees two-theta:
index, Position (°2θ), I_rel
2 0 1, 40.1, 100
1 0 0, 14.5, 55
2 1 0, 39.1, 50
1 1 1, 37.2, 49
1 0 1, 30.6, 30
2 0 0, 29.3, 28